Record 1
Simulated powder diffraction line list of Pr3TlAu for Cu Kα, from DFT lattice parameters and positions (GGA-PBE).

Main lines, in order of rising 2θ (2θ = 10–80°):
- 2θ = 27.3°, I = 18
- 2θ = 28.6°, I = 24
- 2θ = 30.7°, I = 100
- 2θ = 31.9°, I = 18
- 2θ = 35.8°, I = 25
- 2θ = 37.0°, I = 24

Structural model:
```
data_Pr3TlAu
_space_group_name_H-M_alt 'C 1 2/c 1'
_space_group_IT_number 15
_cell_length_a 17.501
_cell_length_b 7.136
_cell_length_c 11.528
_cell_angle_alpha 90.00
_cell_angle_beta 119.37
_cell_angle_gamma 90.00
loop_
_space_group_symop_operation_xyz
'x,y,z'
'-x,-y,-z'
'-x,y,-z+1/2'
'x,-y,z+1/2'
'x+1/2,y+1/2,z'
'-x+1/2,-y+1/2,-z'
'-x+1/2,y+1/2,-z+1/2'
'x+1/2,-y+1/2,z+1/2'
loop_
_atom_site_label
_atom_site_type_symbol
_atom_site_fract_x
_atom_site_fract_y
_atom_site_fract_z
_atom_site_occupancy
Pr1 Pr 0.062 0.197 0.455 1
Pr2 Pr 0.118 0.486 0.769 1
Pr3 Pr 0.192 0.022 0.789 1
Tl1 Tl 0.120 0.266 0.023 1
Au1 Au 0.000 0.128 0.750 1
Au2 Au 0.250 0.250 0.500 1
```

Record 2
Simulated powder diffraction line list of Sm5InBi2 for Cu Kα, from DFT lattice parameters and positions (GGA-PBE).

Main lines, in order of rising 2θ (2θ = 10–80°):
- 2θ = 29.2°, I = 52
- 2θ = 30.1°, I = 61
- 2θ = 30.9°, I = 29
- 2θ = 32.7°, I = 100
- 2θ = 43.7°, I = 23
- 2θ = 55.2°, I = 25

Structural model:
```
data_Sm5InBi2
_space_group_name_H-M_alt 'C m c m'
_space_group_IT_number 63
_space_group_name_Hall '-C 2c 2'
_cell_length_a 5.931
_cell_length_b 11.788
_cell_length_c 14.962
_cell_angle_alpha 90.00
_cell_angle_beta 90.00
_cell_angle_gamma 90.00
loop_
_atom_site_label
_atom_site_type_symbol
_atom_site_fract_x
_atom_site_fract_y
_atom_site_fract_z
_atom_site_occupancy
Sm1 Sm 0.000 0.077 0.100 1
Sm2 Sm 0.000 0.378 0.050 1
Sm3 Sm 0.000 0.418 0.750 1
In1 In 0.000 0.289 0.250 1
Bi1 Bi 0.000 0.200 0.616 1
```